No. 1
# La2NdBi3
Calculated powder XRD pattern, a wavelength of 1.5418 Å. Input: DFT lattice parameters and positions (PBE).
Kinematic intensities with the Lorentz-polarization factor, no thermal factor.

Cell and atoms:
```
data_La2NdBi3
_chemical_formula_sum 'La2 Nd1 Bi3'
_space_group_name_H-M_alt 'P 1'
_space_group_IT_number 1
_space_group_name_Hall 'P 1'
_cell_length_a 4.6474
_cell_length_b 4.6474
_cell_length_c 11.4179
_cell_angle_alpha 90.00
_cell_angle_beta 90.00
_cell_angle_gamma 120.00
loop_
_atom_site_label
_atom_site_type_symbol
_atom_site_fract_x
_atom_site_fract_y
_atom_site_fract_z
La1 La 0.3333 0.6667 0.3317
La2 La 0.6667 0.3333 0.6683
Nd1 Nd 0.0000 0.0000 0.0000
Bi1 Bi 0.0000 0.0000 0.5000
Bi2 Bi 0.3333 0.6667 0.8361
Bi3 Bi 0.6667 0.3333 0.1639
```

Peak list (12 most intense, 2θ = 10–90°, in order of falling intensity)
2θ 27.11, d = 3.289 Å, intensity 100
2θ 38.71, d = 2.326 Å, intensity 79
2θ 47.93, d = 1.898 Å, intensity 22
2θ 70.11, d = 1.342 Å, intensity 21
2θ 63.15, d = 1.472 Å, intensity 19
2θ 63.26, d = 1.470 Å, intensity 19
2θ 55.90, d = 1.645 Å, intensity 14
2θ 89.45, d = 1.096 Å, intensity 8
2θ 89.35, d = 1.096 Å, intensity 8
2θ 47.80, d = 1.903 Å, intensity 7
2θ 69.93, d = 1.345 Å, intensity 7
2θ 23.42, d = 3.798 Å, intensity 7

=====

No. 2
# Ag6PBrO5
Calculated powder XRD pattern, a wavelength of 1.5418 Å. Input: DFT lattice parameters and positions (PBE).
Kinematic intensities with the Lorentz-polarization factor, no thermal factor.

Cell and atoms:
```
data_Ag6PBrO5
_chemical_formula_sum 'Ag6 P1 Br1 O5'
_space_group_name_H-M_alt 'P 1'
_space_group_IT_number 1
_space_group_name_Hall 'P 1'
_cell_length_a 6.7232
_cell_length_b 6.7232
_cell_length_c 6.7232
_cell_angle_alpha 60.00
_cell_angle_beta 60.00
_cell_angle_gamma 60.00
loop_
_atom_site_label
_atom_site_type_symbol
_atom_site_fract_x
_atom_site_fract_y
_atom_site_fract_z
Ag1 Ag 0.2419 0.2419 0.7581
Ag2 Ag 0.2419 0.7581 0.2419
Ag3 Ag 0.2419 0.7581 0.7581
Ag4 Ag 0.7581 0.2419 0.2419
Ag5 Ag 0.7581 0.2419 0.7581
Ag6 Ag 0.7581 0.7581 0.2419
P1 P 0.7500 0.7500 0.7500
Br1 Br 0.2500 0.2500 0.2500
O1 O 0.0000 0.0000 0.0000
O2 O 0.0332 0.6556 0.6556
O3 O 0.6556 0.0332 0.6556
O4 O 0.6556 0.6556 0.0332
O5 O 0.6556 0.6556 0.6556
```

Peak list (12 most intense, 2θ = 10–90°, in order of falling intensity)
2θ 32.62, d = 2.745 Å, intensity 100
2θ 37.85, d = 2.377 Å, intensity 47
2θ 54.60, d = 1.681 Å, intensity 37
2θ 65.07, d = 1.433 Å, intensity 36
2θ 89.96, d = 1.091 Å, intensity 16
2θ 68.35, d = 1.372 Å, intensity 11
2θ 80.88, d = 1.189 Å, intensity 5
2θ 18.66, d = 4.754 Å, intensity 5
2θ 42.52, d = 2.126 Å, intensity 5
2θ 26.52, d = 3.362 Å, intensity 3
2θ 49.83, d = 1.830 Å, intensity 3
2θ 31.20, d = 2.867 Å, intensity 2

=====

No. 3
# K2Rb2Ge2Au7
Calculated powder XRD pattern, a wavelength of 1.5418 Å. Input: DFT lattice parameters and positions (PBE).
Kinematic intensities with the Lorentz-polarization factor, no thermal factor.

Cell and atoms:
```
data_K2Rb2Ge2Au7
_chemical_formula_sum 'K2 Rb2 Ge2 Au7'
_space_group_name_H-M_alt 'P 1'
_space_group_IT_number 1
_space_group_name_Hall 'P 1'
_cell_length_a 10.3216
_cell_length_b 10.3216
_cell_length_c 10.3216
_cell_angle_alpha 37.41
_cell_angle_beta 37.41
_cell_angle_gamma 37.41
loop_
_atom_site_label
_atom_site_type_symbol
_atom_site_fract_x
_atom_site_fract_y
_atom_site_fract_z
K1 K 0.1831 0.1831 0.1831
K2 K 0.8169 0.8169 0.8169
Rb1 Rb 0.3108 0.3108 0.3108
Rb2 Rb 0.6892 0.6892 0.6892
Ge1 Ge 0.0456 0.0456 0.0456
Ge2 Ge 0.9544 0.9544 0.9544
Au1 Au 0.2773 0.2773 0.7089
Au2 Au 0.2773 0.7089 0.2773
Au3 Au 0.2911 0.7227 0.7227
Au4 Au 0.5000 0.5000 0.5000
Au5 Au 0.7089 0.2773 0.2773
Au6 Au 0.7227 0.2911 0.7227
Au7 Au 0.7227 0.7227 0.2911
```

Peak list (12 most intense, 2θ = 10–90°, in order of falling intensity)
2θ 33.66, d = 2.663 Å, intensity 100
2θ 16.65, d = 5.325 Å, intensity 92
2θ 31.83, d = 2.811 Å, intensity 57
2θ 32.88, d = 2.724 Å, intensity 54
2θ 18.51, d = 4.794 Å, intensity 51
2θ 44.67, d = 2.029 Å, intensity 45
2θ 15.76, d = 5.622 Å, intensity 33
2θ 55.53, d = 1.655 Å, intensity 30
2θ 40.24, d = 2.241 Å, intensity 29
2θ 29.32, d = 3.046 Å, intensity 29
2θ 51.48, d = 1.775 Å, intensity 22
2θ 60.82, d = 1.523 Å, intensity 20

=====

No. 4
# CuH6C10Br4N2F2
Calculated powder XRD pattern, a wavelength of 1.5418 Å. Input: DFT lattice parameters and positions (PBE).
Kinematic intensities with the Lorentz-polarization factor, no thermal factor.

Cell and atoms:
```
data_CuH6C10Br4N2F2
_chemical_formula_sum 'Cu1 H6 C10 Br4 N2 F2'
_space_group_name_H-M_alt 'P 1'
_space_group_IT_number 1
_space_group_name_Hall 'P 1'
_cell_length_a 6.0289
_cell_length_b 7.2712
_cell_length_c 8.4665
_cell_angle_alpha 99.76
_cell_angle_beta 94.83
_cell_angle_gamma 103.04
loop_
_atom_site_label
_atom_site_type_symbol
_atom_site_fract_x
_atom_site_fract_y
_atom_site_fract_z
Cu1 Cu 0.0000 0.0000 0.0000
H1 H 0.1861 0.8048 0.5238
H2 H 0.2020 0.4030 0.4717
H3 H 0.4130 0.2810 0.9363
H4 H 0.5870 0.7190 0.0637
H5 H 0.7980 0.5970 0.5283
H6 H 0.8139 0.1952 0.4762
C1 C 0.0524 0.7827 0.4230
C2 C 0.0899 0.8709 0.2910
C3 C 0.1643 0.3336 0.5742
C4 C 0.2834 0.2657 0.8338
C5 C 0.3302 0.3564 0.7048
C6 C 0.6698 0.6436 0.2952
C7 C 0.7166 0.7343 0.1662
C8 C 0.8357 0.6664 0.4258
C9 C 0.9101 0.1291 0.7090
C10 C 0.9476 0.2173 0.5770
Br1 Br 0.1417 0.7380 0.8503
Br2 Br 0.3766 0.0349 0.2732
Br3 Br 0.6234 0.9651 0.7268
Br4 Br 0.8583 0.2620 0.1497
N1 N 0.0738 0.1519 0.8328
N2 N 0.9262 0.8481 0.1672
F1 F 0.4557 0.5327 0.2923
F2 F 0.5443 0.4673 0.7077
```

Peak list (12 most intense, 2θ = 10–90°, in order of falling intensity)
2θ 12.74, d = 6.949 Å, intensity 100
2θ 29.76, d = 3.002 Å, intensity 90
2θ 22.64, d = 3.928 Å, intensity 75
2θ 28.00, d = 3.187 Å, intensity 62
2θ 27.28, d = 3.269 Å, intensity 39
2θ 21.48, d = 4.138 Å, intensity 39
2θ 27.42, d = 3.252 Å, intensity 38
2θ 10.69, d = 8.276 Å, intensity 37
2θ 35.60, d = 2.522 Å, intensity 37
2θ 36.25, d = 2.478 Å, intensity 36
2θ 33.91, d = 2.644 Å, intensity 30
2θ 36.52, d = 2.461 Å, intensity 30

=====

No. 5
# SrFeTe3Au
Calculated powder XRD pattern, a wavelength of 1.5418 Å. Input: DFT lattice parameters and positions (PBE).
Kinematic intensities with the Lorentz-polarization factor, no thermal factor.

Cell and atoms:
```
data_SrFeTe3Au
_chemical_formula_sum 'Sr2 Fe2 Te6 Au2'
_space_group_name_H-M_alt 'P 1'
_space_group_IT_number 1
_space_group_name_Hall 'P 1'
_cell_length_a 7.2268
_cell_length_b 7.2268
_cell_length_c 11.2911
_cell_angle_alpha 90.00
_cell_angle_beta 90.00
_cell_angle_gamma 145.78
loop_
_atom_site_label
_atom_site_type_symbol
_atom_site_fract_x
_atom_site_fract_y
_atom_site_fract_z
Sr1 Sr 0.2294 0.7706 0.7500
Sr2 Sr 0.7706 0.2294 0.2500
Fe1 Fe 0.0000 0.0000 0.0000
Fe2 Fe 0.0000 0.0000 0.5000
Te1 Te 0.0814 0.9186 0.2500
Te2 Te 0.3698 0.6302 0.0289
Te3 Te 0.3698 0.6302 0.4711
Te4 Te 0.6302 0.3698 0.5289
Te5 Te 0.6302 0.3698 0.9711
Te6 Te 0.9186 0.0814 0.7500
Au1 Au 0.4485 0.5515 0.2500
Au2 Au 0.5515 0.4485 0.7500
```

Peak list (12 most intense, 2θ = 10–90°, in order of falling intensity)
2θ 29.67, d = 3.011 Å, intensity 100
2θ 32.76, d = 2.733 Å, intensity 70
2θ 31.70, d = 2.823 Å, intensity 57
2θ 49.83, d = 1.830 Å, intensity 36
2θ 12.82, d = 6.907 Å, intensity 36
2θ 42.52, d = 2.126 Å, intensity 31
2θ 37.41, d = 2.404 Å, intensity 28
2θ 54.00, d = 1.698 Å, intensity 25
2θ 46.00, d = 1.973 Å, intensity 23
2θ 21.87, d = 4.064 Å, intensity 21
2θ 42.14, d = 2.144 Å, intensity 20
2θ 30.34, d = 2.946 Å, intensity 18

=====

No. 6
# Pr2Sm2Se3O4
Calculated powder XRD pattern, a wavelength of 1.5418 Å. Input: DFT lattice parameters and positions (PBE).
Kinematic intensities with the Lorentz-polarization factor, no thermal factor.

Cell and atoms:
```
data_Pr2Sm2Se3O4
_chemical_formula_sum 'Pr2 Sm2 Se3 O4'
_space_group_name_H-M_alt 'P 1'
_space_group_IT_number 1
_space_group_name_Hall 'P 1'
_cell_length_a 8.4561
_cell_length_b 6.7502
_cell_length_c 6.7502
_cell_angle_alpha 34.46
_cell_angle_beta 90.00
_cell_angle_gamma 90.00
loop_
_atom_site_label
_atom_site_type_symbol
_atom_site_fract_x
_atom_site_fract_y
_atom_site_fract_z
Pr1 Pr 0.2373 0.0000 0.0000
Pr2 Pr 0.7627 0.0000 0.0000
Sm1 Sm 0.0000 0.3176 0.3176
Sm2 Sm 0.5000 0.3335 0.3335
Se1 Se 0.0000 0.6308 0.6308
Se2 Se 0.3520 0.6740 0.6740
Se3 Se 0.6480 0.6740 0.6740
O1 O 0.0000 0.9019 0.9019
O2 O 0.2444 0.4009 0.4009
O3 O 0.5000 0.9290 0.9290
O4 O 0.7556 0.4009 0.4009
```

Peak list (12 most intense, 2θ = 10–90°, in order of falling intensity)
2θ 30.53, d = 2.928 Å, intensity 100
2θ 31.57, d = 2.834 Å, intensity 55
2θ 25.19, d = 3.536 Å, intensity 55
2θ 35.00, d = 2.564 Å, intensity 29
2θ 47.12, d = 1.929 Å, intensity 23
2θ 45.36, d = 1.999 Å, intensity 20
2θ 53.46, d = 1.714 Å, intensity 17
2θ 59.41, d = 1.556 Å, intensity 15
2θ 52.59, d = 1.740 Å, intensity 15
2θ 42.04, d = 2.149 Å, intensity 15
2θ 58.55, d = 1.577 Å, intensity 13
2θ 49.27, d = 1.850 Å, intensity 10

=====

No. 7
# Zr4Co4Ge7
Calculated powder XRD pattern, a wavelength of 1.5418 Å. Input: DFT lattice parameters and positions (PBE).
Kinematic intensities with the Lorentz-polarization factor, no thermal factor.

Cell and atoms:
```
data_Zr4Co4Ge7
_chemical_formula_sum 'Zr8 Co8 Ge14'
_space_group_name_H-M_alt 'P 1'
_space_group_IT_number 1
_space_group_name_Hall 'P 1'
_cell_length_a 9.7380
_cell_length_b 9.7380
_cell_length_c 9.7380
_cell_angle_alpha 94.15
_cell_angle_beta 94.15
_cell_angle_gamma 148.78
loop_
_atom_site_label
_atom_site_type_symbol
_atom_site_fract_x
_atom_site_fract_y
_atom_site_fract_z
Zr1 Zr 0.0000 0.1959 0.1959
Zr2 Zr 0.0000 0.8041 0.8041
Zr3 Zr 0.1959 0.0000 0.1959
Zr4 Zr 0.3611 0.3611 0.7222
Zr5 Zr 0.3611 0.6389 0.0000
Zr6 Zr 0.6389 0.3611 0.0000
Zr7 Zr 0.6389 0.6389 0.2778
Zr8 Zr 0.8041 0.0000 0.8041
Co1 Co 0.1017 0.6017 0.2035
Co2 Co 0.1017 0.8983 0.5000
Co3 Co 0.3983 0.6017 0.5000
Co4 Co 0.3983 0.8983 0.7965
Co5 Co 0.6017 0.1017 0.2035
Co6 Co 0.6017 0.3983 0.5000
Co7 Co 0.8983 0.1017 0.5000
Co8 Co 0.8983 0.3983 0.7965
Ge1 Ge 0.0000 0.4062 0.4062
Ge2 Ge 0.0000 0.5938 0.5938
Ge3 Ge 0.2070 0.5000 0.7070
Ge4 Ge 0.2078 0.2078 0.4156
Ge5 Ge 0.2078 0.7922 0.0000
Ge6 Ge 0.2507 0.2507 0.0000
Ge7 Ge 0.4062 0.0000 0.4062
Ge8 Ge 0.5000 0.2070 0.7070
Ge9 Ge 0.5000 0.7930 0.2930
Ge10 Ge 0.5938 0.0000 0.5938
Ge11 Ge 0.7493 0.7493 0.0000
Ge12 Ge 0.7922 0.2078 0.0000
Ge13 Ge 0.7922 0.7922 0.5844
Ge14 Ge 0.7930 0.5000 0.2930
```

Peak list (12 most intense, 2θ = 10–90°, in order of falling intensity)
2θ 38.02, d = 2.367 Å, intensity 100
2θ 40.59, d = 2.222 Å, intensity 46
2θ 40.82, d = 2.211 Å, intensity 23
2θ 63.79, d = 1.459 Å, intensity 21
2θ 38.39, d = 2.345 Å, intensity 16
2θ 46.23, d = 1.964 Å, intensity 14
2θ 34.22, d = 2.621 Å, intensity 14
2θ 45.15, d = 2.008 Å, intensity 12
2θ 77.51, d = 1.231 Å, intensity 10
2θ 81.30, d = 1.183 Å, intensity 8
2θ 44.04, d = 2.056 Å, intensity 8
2θ 72.08, d = 1.310 Å, intensity 8

=====

No. 8
# Zr3PbO4F6
Calculated powder XRD pattern, a wavelength of 1.5418 Å. Input: DFT lattice parameters and positions (PBE).
Kinematic intensities with the Lorentz-polarization factor, no thermal factor.

Cell and atoms:
```
data_Zr3PbO4F6
_chemical_formula_sum 'Zr6 Pb2 O8 F12'
_space_group_name_H-M_alt 'P 1'
_space_group_IT_number 1
_space_group_name_Hall 'P 1'
_cell_length_a 7.7127
_cell_length_b 7.7127
_cell_length_c 7.7127
_cell_angle_alpha 60.00
_cell_angle_beta 60.00
_cell_angle_gamma 60.00
loop_
_atom_site_label
_atom_site_type_symbol
_atom_site_fract_x
_atom_site_fract_y
_atom_site_fract_z
Zr1 Zr 0.2235 0.2235 0.7765
Zr2 Zr 0.2235 0.7765 0.2235
Zr3 Zr 0.2235 0.7765 0.7765
Zr4 Zr 0.7765 0.2235 0.2235
Zr5 Zr 0.7765 0.2235 0.7765
Zr6 Zr 0.7765 0.7765 0.2235
Pb1 Pb 0.2500 0.2500 0.2500
Pb2 Pb 0.7500 0.7500 0.7500
O1 O 0.1169 0.1169 0.1169
O2 O 0.1169 0.1169 0.6494
O3 O 0.1169 0.6494 0.1169
O4 O 0.3506 0.8831 0.8831
O5 O 0.6494 0.1169 0.1169
O6 O 0.8831 0.3506 0.8831
O7 O 0.8831 0.8831 0.3506
O8 O 0.8831 0.8831 0.8831
F1 F 0.1707 0.5000 0.5000
F2 F 0.1707 0.5000 0.8293
F3 F 0.1707 0.8293 0.5000
F4 F 0.5000 0.1707 0.5000
F5 F 0.5000 0.1707 0.8293
F6 F 0.5000 0.5000 0.1707
F7 F 0.5000 0.5000 0.8293
F8 F 0.5000 0.8293 0.1707
F9 F 0.5000 0.8293 0.5000
F10 F 0.8293 0.1707 0.5000
F11 F 0.8293 0.5000 0.1707
F12 F 0.8293 0.5000 0.5000
```

Peak list (12 most intense, 2θ = 10–90°, in order of falling intensity)
2θ 28.34, d = 3.149 Å, intensity 100
2θ 55.92, d = 1.644 Å, intensity 48
2θ 47.13, d = 1.928 Å, intensity 43
2θ 32.84, d = 2.727 Å, intensity 41
2θ 36.85, d = 2.439 Å, intensity 21
2θ 76.07, d = 1.251 Å, intensity 14
2θ 87.66, d = 1.113 Å, intensity 13
2θ 43.09, d = 2.099 Å, intensity 12
2θ 16.25, d = 5.454 Å, intensity 12
2θ 58.64, d = 1.574 Å, intensity 11
2θ 40.52, d = 2.226 Å, intensity 10
2θ 23.06, d = 3.856 Å, intensity 10

=====

No. 9
# ZrSn2C
Calculated powder XRD pattern, a wavelength of 1.5418 Å. Input: DFT lattice parameters and positions (PBE).
Kinematic intensities with the Lorentz-polarization factor, no thermal factor.

Cell and atoms:
```
data_ZrSn2C
_chemical_formula_sum 'Zr2 Sn4 C2'
_space_group_name_H-M_alt 'P 1'
_space_group_IT_number 1
_space_group_name_Hall 'P 1'
_cell_length_a 3.3265
_cell_length_b 3.3265
_cell_length_c 15.6312
_cell_angle_alpha 90.00
_cell_angle_beta 90.00
_cell_angle_gamma 120.00
loop_
_atom_site_label
_atom_site_type_symbol
_atom_site_fract_x
_atom_site_fract_y
_atom_site_fract_z
Zr1 Zr 0.3333 0.6667 0.2500
Zr2 Zr 0.6667 0.3333 0.7500
Sn1 Sn 0.3333 0.6667 0.5904
Sn2 Sn 0.3333 0.6667 0.9096
Sn3 Sn 0.6667 0.3333 0.0904
Sn4 Sn 0.6667 0.3333 0.4096
C1 C 0.0000 0.0000 0.0000
C2 C 0.0000 0.0000 0.5000
```

Peak list (12 most intense, 2θ = 10–90°, in order of falling intensity)
2θ 35.61, d = 2.521 Å, intensity 100
2θ 34.43, d = 2.605 Å, intensity 22
2θ 31.04, d = 2.881 Å, intensity 21
2θ 55.23, d = 1.663 Å, intensity 20
2θ 66.72, d = 1.402 Å, intensity 20
2θ 62.44, d = 1.487 Å, intensity 18
2θ 47.03, d = 1.932 Å, intensity 16
2θ 67.46, d = 1.388 Å, intensity 16
2θ 88.09, d = 1.109 Å, intensity 9
2θ 75.41, d = 1.261 Å, intensity 4
2θ 64.72, d = 1.440 Å, intensity 3
2θ 51.80, d = 1.765 Å, intensity 3